No. 1
This entry pairs a crystal structure of Y3Mg with its computed XRD peak list. Radiation: Cu Kα X-rays. Structure: DFT lattice parameters and positions (PBE).
Intensities are scaled so that the largest is 100.

Most intense lines, 2θ = 5–70°, by angle:
Position (°2θ)  d [Å]  I/Imax
16.88  5.252  14
28.88  3.092  22
30.13  2.966  15
31.69  2.824  34
33.03  2.712  100
34.14  2.626  38
43.40  2.085  14
52.74  1.736  15
57.30  1.608  20
62.85  1.479  18

Structure:
Lattice parameters (Å, degrees): 3.6228 11.2943 5.9322 90.00 90.00 90.00
Space group Imm2 (No. 44)
One atom of each set of equivalent atoms:
Y  0.0000  0.0000  0.0000 (multiplicity 2)
Y  0.0000  0.2434  0.3542 (multiplicity 4)
Mg  0.0000  0.5000  0.0162 (multiplicity 2)

No. 2
This entry pairs a crystal structure of LaCe4Si10Ru10 with its computed XRD peak list. Radiation: Cu Kα X-rays. Structure: DFT lattice parameters and positions (PBE).
Intensities are scaled so that the largest is 100.

Most intense lines, 2θ = 5–70°, by angle:
Position (°2θ)  d [Å]  I/Imax
23.00  3.867  25
34.89  2.571  30
35.31  2.542  100
36.93  2.434  16
42.92  2.107  40
51.71  1.768  8
56.46  1.630  15
57.88  1.593  17
62.32  1.490  13
65.50  1.425  19

Structure:
Lattice parameters (Å, degrees): 4.2142 4.2142 48.6816 90.00 90.00 90.00
Space group I4/mmm (No. 139)
One atom of each set of equivalent atoms:
La  0.0000  0.0000  0.0000 (multiplicity 2)
Ce  0.0000  0.0000  0.2001 (multiplicity 4)
Ce  0.0000  0.0000  0.3999 (multiplicity 4)
Si  0.0000  0.0000  0.0738 (multiplicity 4)
Si  0.0000  0.0000  0.1263 (multiplicity 4)
Si  0.0000  0.0000  0.2736 (multiplicity 4)
Si  0.0000  0.0000  0.3264 (multiplicity 4)
Si  0.0000  0.0000  0.4728 (multiplicity 4)
Ru  0.0000  0.5000  0.0508 (multiplicity 8)
Ru  0.0000  0.5000  0.1499 (multiplicity 8)
Ru  0.0000  0.5000  0.2500 (multiplicity 4)

No. 3
This entry pairs a crystal structure of Mn2CoSb with its computed XRD peak list. Radiation: Cu Kα X-rays. Structure: DFT lattice parameters and positions (PBE).
Intensities are scaled so that the largest is 100.

Most intense lines, 2θ = 5–70°, by angle:
Position (°2θ)  d [Å]  I/Imax
25.75  3.459  12
29.83  2.996  5
42.68  2.118  100
50.52  1.806  6
52.94  1.730  1
61.95  1.498  15
68.23  1.375  3

Structure:
Lattice parameters (Å, degrees): 5.9913 5.9913 5.9913 90.00 90.00 90.00
Space group F-43m (No. 216)
One atom of each set of equivalent atoms:
Mn  0.0000  0.0000  0.0000 (multiplicity 4)
Mn  0.2500  0.2500  0.2500 (multiplicity 4)
Co  0.2500  0.2500  0.7500 (multiplicity 4)
Sb  0.0000  0.0000  0.5000 (multiplicity 4)